Starting from DFT lattice parameters and positions (PBE), the XRD peak list of CsNaIn2Cl4 was calculated for Cu Kα X-rays.

Peak list (10 most intense, 15 to 90 degrees two-theta, sorted by position)
| (hkl) | 2θ/deg | I (rel.) |
| --- | --- | --- |
| 2 2 -2 | 23.7 | 61 |
| 0 4 0 | 27.2 | 47 |
| 0 0 2 | 27.6 | 100 |
| 0 4 2 | 39.1 | 68 |
| 4 0 0 | 39.4 | 37 |
| 2 6 -2 | 46.0 | 16 |
| 6 2 -4 | 46.5 | 22 |
| 4 4 0 | 48.5 | 35 |
| 0 8 2 | 63.6 | 12 |
| 4 4 2 | 71.2 | 16 |

Structural model:
a = 12.9214 Å, b = 13.1209 Å, c = 9.1407 Å
α = 90.00°, β = 134.91°, γ = 90.00°
Space group C2/c (No. 15)
Unique sites:
Cs  0.2500  0.2500  0.0000 x4
Na  0.0000  0.0000  0.0000 x4
In  0.0000  0.5000  0.0000 x4
In  0.2500  0.2500  0.5000 x4
Cl  0.0000  0.2160  0.0155 x8
Cl  0.2480  0.0065  0.5000 x8

Starting from DFT lattice parameters and positions (PBE), the XRD peak list of CsNp2InCl8 was calculated for Cu Kα X-rays.

Peak list (10 most intense, 15 to 90 degrees two-theta, sorted by position)
| (hkl) | 2θ/deg | I (rel.) |
| --- | --- | --- |
| 0 1 1 | 16.9 | 69 |
| 1 1 0 | 23.0 | 100 |
| 2 -1 1 | 25.3 | 32 |
| 2 0 1 | 28.7 | 25 |
| 2 -1 2 | 31.4 | 64 |
| 0 1 3 | 34.5 | 29 |
| 3 -2 1 | 37.1 | 25 |
| 3 0 0 | 40.4 | 43 |
| 2 0 3 | 41.9 | 38 |
| 1 2 3 | 48.3 | 33 |

Structural model:
a = 7.7317 Å, b = 7.7317 Å, c = 8.4506 Å
α = 90.00°, β = 90.00°, γ = 120.00°
Space group P-3 (No. 147)
Unique sites:
Cs  0.0000  0.0000  0.0000 x1
Np  0.3333  0.6667  0.4233 x2
In  0.0000  0.0000  0.5000 x1
Cl  0.0508  0.3848  0.6448 x6
Cl  0.3333  0.6667  0.1139 x2

Starting from DFT lattice parameters and positions (PBE), the XRD peak list of CsInRhCl6 was calculated for Cu Kα X-rays.

Peak list (10 most intense, 15 to 90 degrees two-theta, sorted by position)
| (hkl) | 2θ/deg | I (rel.) |
| --- | --- | --- |
| 1 1 -1 | 18.7 | 56 |
| 0 2 1 | 19.5 | 100 |
| 1 3 0 | 27.3 | 21 |
| 1 3 1 | 29.9 | 12 |
| 2 0 -2 | 34.3 | 30 |
| 1 3 -2 | 35.4 | 14 |
| 1 3 2 | 36.2 | 47 |
| 2 4 1 | 43.9 | 16 |
| 3 3 0 | 47.2 | 21 |
| 1 3 -4 | 54.1 | 13 |

Structural model:
a = 6.7483 Å, b = 11.2007 Å, c = 7.8433 Å
α = 90.00°, β = 92.46°, γ = 90.00°
Space group C2 (No. 5)
Unique sites:
Cs  0.0000  0.0000  0.0000 x2
In  0.0000  0.3392  0.5000 x2
Rh  0.0000  0.6780  0.5000 x2
Cl  0.1344  0.5232  0.6735 x4
Cl  0.1747  0.8259  0.6682 x4
Cl  0.1826  0.2014  0.7029 x4

Starting from DFT lattice parameters and positions (PBE), the XRD peak list of CsTiIn2Cl6 was calculated for Cu Kα X-rays.

Peak list (10 most intense, 15 to 90 degrees two-theta, sorted by position)
| (hkl) | 2θ/deg | I (rel.) |
| --- | --- | --- |
| -1 1 1 | 15.9 | 42 |
| 1 -1 1 | 22.2 | 100 |
| 1 1 -1 | 22.9 | 62 |
| -2 1 1 | 23.0 | 31 |
| -1 2 1 | 26.6 | 23 |
| -2 2 2 | 32.2 | 46 |
| 1 -2 2 | 35.6 | 56 |
| -2 1 3 | 35.7 | 30 |
| 2 -3 1 | 40.0 | 37 |
| 3 0 -2 | 40.4 | 31 |

Structural model:
a = 7.7185 Å, b = 7.7501 Å, c = 8.0027 Å
α = 90.07°, β = 118.83°, γ = 119.84°
Space group P1 (No. 1)
Unique sites:
Cs  0.0000  0.0000  0.0000 x1
Ti  0.9738  0.4869  0.4600 x1
In  0.5717  0.2865  0.8562 x1
In  0.5964  0.7980  0.3949 x1
Cl  0.0795  0.4223  0.2297 x1
Cl  0.0923  0.2843  0.6602 x1
Cl  0.3755  0.8077  0.6584 x1
Cl  0.5750  0.1530  0.2292 x1
Cl  0.8063  0.6543  0.2275 x1
Cl  0.8497  0.5686  0.6582 x1

Starting from DFT lattice parameters and positions (PBE), the XRD peak list of CsTl2InCl6 was calculated for Cu Kα X-rays.

Peak list (10 most intense, 15 to 90 degrees two-theta, sorted by position)
| (hkl) | 2θ/deg | I (rel.) |
| --- | --- | --- |
| 1 1 0 | 15.6 | 40 |
| 1 1 2 | 21.8 | 96 |
| 2 1 1 | 22.5 | 100 |
| 0 2 2 | 31.5 | 45 |
| 1 -1 2 | 34.9 | 66 |
| 3 1 0 | 39.1 | 50 |
| 3 3 2 | 39.4 | 42 |
| 4 1 3 | 51.4 | 21 |
| 4 2 4 | 53.7 | 18 |
| 4 5 3 | 62.1 | 18 |

Structural model:
a = 7.9076 Å, b = 7.9141 Å, c = 8.1486 Å
α = 60.99°, β = 60.98°, γ = 60.05°
Space group P1 (No. 1)
Unique sites:
Cs  0.0000  0.0000  0.0000 x1
Tl  0.2815  0.2821  0.1549 x1
Tl  0.7941  0.7947  0.6172 x1
In  0.4862  0.4866  0.5410 x1
Cl  0.1465  0.4130  0.7802 x1
Cl  0.2722  0.8127  0.3369 x1
Cl  0.4125  0.6599  0.7807 x1
Cl  0.5785  0.2724  0.3367 x1
Cl  0.6594  0.1476  0.7805 x1
Cl  0.8126  0.5787  0.3373 x1

Starting from DFT lattice parameters and positions (PBE), the XRD peak list of CsZn4In3Cl12 was calculated for Cu Kα X-rays.

Peak list (10 most intense, 15 to 90 degrees two-theta, sorted by position)
| (hkl) | 2θ/deg | I (rel.) |
| --- | --- | --- |
| 2 1 1 | 19.4 | 23 |
| 2 0 2 | 20.1 | 100 |
| 2 2 0 | 23.5 | 25 |
| 3 1 2 | 28.7 | 14 |
| 0 4 2 | 31.1 | 14 |
| 2 2 3 | 32.6 | 10 |
| 0 2 4 | 32.9 | 29 |
| 4 1 3 | 38.7 | 15 |
| 5 1 1 | 39.0 | 19 |
| 4 2 2 | 39.4 | 10 |

Structural model:
a = 15.1385 Å, b = 15.1385 Å, c = 11.9801 Å
α = 90.00°, β = 90.00°, γ = 120.00°
Space group R32 (No. 155, hexagonal axes)
Unique sites:
Cs  0.0000  0.0000  0.0000 x3
Zn  0.0000  0.0000  0.5000 x3
Zn  0.0000  0.4558  0.5000 x9
In  0.0000  0.5412  0.0000 x9
Cl  0.0000  0.6020  0.5000 x9
Cl  0.0000  0.8544  0.5000 x9
Cl  0.0208  0.2065  0.1668 x18

Starting from DFT lattice parameters and positions (PBE), the XRD peak list of CsIr2Cl8 was calculated for Cu Kα X-rays.

Peak list (10 most intense, 15 to 90 degrees two-theta, sorted by position)
| (hkl) | 2θ/deg | I (rel.) |
| --- | --- | --- |
| 2 0 1 | 17.8 | 86 |
| 4 0 -1 | 21.0 | 23 |
| 1 1 -1 | 21.7 | 100 |
| 3 1 0 | 23.7 | 61 |
| 5 1 -1 | 31.4 | 39 |
| 1 1 2 | 32.1 | 25 |
| 6 0 -2 | 34.4 | 38 |
| 4 0 2 | 36.0 | 29 |
| 0 2 0 | 36.5 | 37 |
| 6 2 -2 | 51.0 | 38 |

Structural model:
a = 18.0009 Å, b = 4.9259 Å, c = 7.4874 Å
α = 90.00°, β = 104.51°, γ = 90.00°
Space group C2/m (No. 12)
Unique sites:
Cs  0.0000  0.0000  0.0000 x2
Ir  0.1915  0.5000  0.5918 x4
Cl  0.0902  0.5000  0.7262 x4
Cl  0.1074  0.5000  0.2990 x4
Cl  0.2019  0.0000  0.5530 x4
Cl  0.2227  0.0000  0.1271 x4

Starting from DFT lattice parameters and positions (PBE), the XRD peak list of Cs2PIrCl6 was calculated for Cu Kα X-rays.

Peak list (10 most intense, 15 to 90 degrees two-theta, sorted by position)
| (hkl) | 2θ/deg | I (rel.) |
| --- | --- | --- |
| 1 1 2 | 23.5 | 100 |
| 2 0 0 | 25.6 | 38 |
| 2 1 1 | 29.6 | 20 |
| 2 0 2 | 29.8 | 19 |
| 0 0 4 | 30.4 | 32 |
| 2 2 0 | 36.5 | 44 |
| 2 0 4 | 40.1 | 19 |
| 3 1 2 | 43.9 | 39 |
| 2 2 4 | 48.2 | 33 |
| 1 1 6 | 50.0 | 18 |

Structural model:
a = 6.9706 Å, b = 6.9706 Å, c = 11.7708 Å
α = 90.00°, β = 90.00°, γ = 90.00°
Space group I4/mmm (No. 139)
Unique sites:
Cs  0.0000  0.5000  0.2500 x4
P  0.0000  0.0000  0.0000 x2
Ir  0.0000  0.0000  0.5000 x2
Cl  0.0000  0.0000  0.2980 x4
Cl  0.2492  0.2492  0.5000 x8

Starting from DFT lattice parameters and positions (PBE), the XRD peak list of Cs2TiIrCl6 was calculated for Cu Kα X-rays.

Peak list (10 most intense, 15 to 90 degrees two-theta, sorted by position)
| (hkl) | 2θ/deg | I (rel.) |
| --- | --- | --- |
| 1 0 1 | 15.1 | 20 |
| 2 0 0 | 24.7 | 100 |
| 2 1 1 | 29.1 | 15 |
| 2 2 0 | 35.2 | 38 |
| 0 0 4 | 35.3 | 19 |
| 3 1 2 | 43.5 | 30 |
| 2 0 4 | 43.6 | 15 |
| 2 2 4 | 50.7 | 25 |
| 4 2 0 | 57.1 | 14 |
| 4 2 4 | 68.9 | 16 |

Structural model:
a = 7.2168 Å, b = 7.2168 Å, c = 10.1614 Å
α = 90.00°, β = 90.00°, γ = 90.00°
Space group I4/mmm (No. 139)
Unique sites:
Cs  0.0000  0.5000  0.2500 x4
Ti  0.0000  0.0000  0.0000 x2
Ir  0.0000  0.0000  0.5000 x2
Cl  0.0000  0.0000  0.2481 x4
Cl  0.2437  0.2437  0.0000 x8

Starting from DFT lattice parameters and positions (PBE), the XRD peak list of Cs6KCl was calculated for Cu Kα X-rays.

Peak list (10 most intense, 15 to 90 degrees two-theta, sorted by position)
| (hkl) | 2θ/deg | I (rel.) |
| --- | --- | --- |
| 1 1 3 | 19.4 | 36 |
| 4 0 -2 | 20.6 | 68 |
| 1 1 -4 | 21.8 | 100 |
| 2 2 -1 | 21.8 | 97 |
| 3 1 2 | 22.2 | 96 |
| 1 3 3 | 33.7 | 45 |
| 5 1 -6 | 36.6 | 25 |
| 6 2 -3 | 36.9 | 23 |
| 7 1 0 | 37.4 | 24 |
| 2 0 -8 | 39.6 | 34 |

Structural model:
a = 17.8791 Å, b = 9.2335 Å, c = 18.2040 Å
α = 90.00°, β = 102.71°, γ = 90.00°
Space group C2/c (No. 15)
Unique sites:
Cs  0.0761  0.0922  0.3925 x8
Cs  0.1445  0.4379  0.0343 x8
Cs  0.2194  0.0924  0.6689 x8
K  0.0000  0.3992  0.7500 x4
Cl  0.2500  0.2500  0.5000 x4

Starting from DFT lattice parameters and positions (PBE), the XRD peak list of CsK2Cl2 was calculated for Cu Kα X-rays.

Peak list (10 most intense, 15 to 90 degrees two-theta, sorted by position)
| (hkl) | 2θ/deg | I (rel.) |
| --- | --- | --- |
| 1 0 1 | 15.7 | 100 |
| 0 0 4 | 20.7 | 33 |
| 1 1 0 | 21.0 | 16 |
| 1 1 2 | 23.4 | 38 |
| 2 0 0 | 29.8 | 37 |
| 1 0 5 | 30.0 | 36 |
| 2 1 1 | 33.9 | 29 |
| 2 0 4 | 36.6 | 28 |
| 1 1 6 | 37.9 | 24 |
| 2 1 5 | 42.8 | 26 |

Structural model:
a = 5.9890 Å, b = 5.9890 Å, c = 17.1811 Å
α = 90.00°, β = 90.00°, γ = 90.00°
Space group I4/mmm (No. 139)
Unique sites:
Cs  0.0000  0.0000  0.0000 x2
K  0.0000  0.5000  0.2500 x4
Cl  0.0000  0.0000  0.2015 x4

Starting from DFT lattice parameters and positions (PBE), the XRD peak list of CsKMn2Cl8 was calculated for Cu Kα X-rays.

Peak list (10 most intense, 15 to 90 degrees two-theta, sorted by position)
| (hkl) | 2θ/deg | I (rel.) |
| --- | --- | --- |
| 1 0 1 | 17.2 | 71 |
| 1 0 2 | 22.7 | 87 |
| 1 1 0 | 26.2 | 48 |
| 1 1 1 | 27.5 | 100 |
| 2 -1 2 | 31.3 | 56 |
| 0 2 2 | 34.9 | 25 |
| 1 1 4 | 43.6 | 37 |
| 2 1 2 | 44.1 | 27 |
| 3 0 0 | 46.1 | 47 |
| 3 0 4 | 58.7 | 26 |

Structural model:
a = 6.8138 Å, b = 6.8138 Å, c = 10.4719 Å
α = 90.00°, β = 90.00°, γ = 120.00°
Space group P-3 (No. 147)
Unique sites:
Cs  0.0000  0.0000  0.0000 x1
K  0.0000  0.0000  0.5000 x1
Mn  0.3333  0.6667  0.7681 x2
Cl  0.0200  0.3518  0.7085 x6
Cl  0.3333  0.6667  0.9785 x2